Entry 1:
Structure and simulated powder X-ray diffraction pattern of MgTe2Mo3Se2S2 (a GGA-PBE-relaxed structure; λ = 1.5418 Å (Cu Kα)).

The 10 most intense peaks (10 to 90 degrees two-theta), by angle:
hkl	2θ/deg	intensity
0 0 5	11.87	42.4
2 0 0	30.86	74.2
1 1 -4	32.32	35.5
1 1 6	34.11	42.7
2 0 7	35.23	57.4
2 0 8	36.49	21.5
1 1 10	39.36	58.1
1 1 -11	40.96	100.0
3 1 0	54.83	53.1
3 1 -4	55.76	19.5

Structural model:
abc: 5.8022 3.3497 37.2704
angles: 90.00 90.10 90.00
Space group Cm (No. 8)
Unique sites:
Mg 0.0000 0.0000 0.0000
Te 0.1655 0.5000 0.5876
Te 0.1668 0.5000 0.6891
Mo 0.1661 0.5000 0.8631
Mo 0.3326 0.0000 0.1074
Mo 0.3328 0.0000 0.6383
Se 0.3321 0.0000 0.8185
Se 0.3333 0.0000 0.9079
S 0.1657 0.5000 0.0658
S 0.1662 0.5000 0.1476

***

Entry 2:
Structure and simulated powder X-ray diffraction pattern of MgTe4Mo4Se2S2 (a GGA-PBE-relaxed structure; λ = 1.5418 Å (Cu Kα)).

The 10 most intense peaks (10 to 90 degrees two-theta), by angle:
hkl	2θ/deg	intensity
0 0 6	11.56	34.7
2 0 0	30.41	59.0
2 0 -5	31.95	24.2
1 1 8	34.25	63.3
2 0 -10	36.27	18.0
2 0 11	37.40	31.5
2 0 13	39.88	100.0
0 0 21	41.25	24.9
3 1 0	53.99	37.2
2 2 13	69.19	19.4

Structural model:
abc: 5.8840 3.3963 45.9132
angles: 90.00 90.03 90.00
Space group Cm (No. 8)
Unique sites:
Mg 0.0000 0.0000 0.0000
Te 0.1652 0.5000 0.4206
Te 0.1654 0.5000 0.5021
Te 0.3318 0.0000 0.8496
Te 0.3319 0.0000 0.9316
Mo 0.1652 0.5000 0.2733
Mo 0.1651 0.5000 0.8905
Mo 0.3316 0.0000 0.0934
Mo 0.3320 0.0000 0.4614
Se 0.3318 0.0000 0.2374
Se 0.3320 0.0000 0.3092
S 0.1641 0.5000 0.0604
S 0.1651 0.5000 0.1259

***

Entry 3:
Structure and simulated powder X-ray diffraction pattern of MgTe4Mo4Se2S2 (a GGA-PBE-relaxed structure; λ = 1.5418 Å (Cu Kα)).

The 10 most intense peaks (10 to 90 degrees two-theta), by angle:
hkl	2θ/deg	intensity
0 0 5	10.37	100.0
0 0 6	12.45	12.7
1 1 0	30.36	38.9
1 1 5	32.14	14.0
1 0 -8	34.76	36.6
0 1 -8	34.84	18.8
1 0 10	37.05	17.2
1 1 13	41.13	39.1
0 1 -13	41.25	19.3
2 1 0	53.90	25.3

Structural model:
abc: 3.4021 3.4023 42.6658
angles: 89.75 89.90 60.01
Space group P1 (No. 1)
Unique sites:
Mg 0.0000 0.0000 0.0000
Te 0.3332 0.3267 0.6784
Te 0.3336 0.3221 0.7664
Te 0.6663 0.6608 0.2435
Te 0.6666 0.6561 0.3313
Mo 0.3332 0.3251 0.2874
Mo 0.3337 0.3217 0.9051
Mo 0.6667 0.6584 0.1027
Mo 0.6667 0.6579 0.7224
Se 0.3331 0.3271 0.0635
Se 0.3335 0.3229 0.1412
S 0.6672 0.6526 0.9408
S 0.6668 0.6566 0.8703